Record 1
This entry pairs a crystal structure of YMgSc with its simulated powder XRD pattern. Radiation: copper Kα. Structure: DFT lattice parameters and positions (PBE).
Neutral-atom scattering factors, no anomalous dispersion.

Structural model:
Lattice parameters (Å, degrees): 3.395 3.400 13.823 90.00 90.01 90.00
Positions (direct):
Y: 0.249 0.000 0.245
Y: 0.751 0.500 0.755
Mg: 0.250 0.998 0.928
Mg: 0.750 0.498 0.072
Sc: 0.251 0.001 0.579
Sc: 0.749 0.501 0.421

The 6 most intense peaks (2θ = 5–70°), low angle first:
| 2θ/deg | Rel. int. |
| --- | --- |
| 12.81 | 22.5 |
| 27.03 | 21.6 |
| 32.75 | 100.0 |
| 37.44 | 34.7 |
| 55.25 | 20.2 |
| 64.59 | 25.5 |

***

Record 2
This entry pairs a crystal structure of YMg4Sc with its simulated powder XRD pattern. Radiation: copper Kα. Structure: DFT lattice parameters and positions (PBE).
Neutral-atom scattering factors, no anomalous dispersion.

Structural model:
Lattice parameters (Å, degrees): 6.092 6.092 6.092 130.06 115.86 85.42
Positions (direct):
Y: 0.000 0.000 0.000
Mg: 0.085 0.333 0.751
Mg: 0.418 0.667 0.751
Mg: 0.582 0.333 0.249
Mg: 0.915 0.667 0.249
Sc: 0.500 0.000 0.500

The 6 most intense peaks (2θ = 5–70°), low angle first:
| 2θ/deg | Rel. int. |
| --- | --- |
| 19.88 | 41.2 |
| 34.23 | 100.0 |
| 34.76 | 52.0 |
| 34.89 | 25.7 |
| 49.66 | 22.1 |
| 61.97 | 21.9 |

***

Record 3
This entry pairs a crystal structure of Y5Mg4Sc with its simulated powder XRD pattern. Radiation: copper Kα. Structure: DFT lattice parameters and positions (PBE).
Neutral-atom scattering factors, no anomalous dispersion.

Structural model:
Lattice parameters (Å, degrees): 3.727 3.727 19.969 90.00 90.00 90.00
Positions (direct):
Y: 0.000 0.000 0.000
Y: 0.000 0.000 0.195
Y: 0.000 0.000 0.395
Y: 0.000 0.000 0.605
Y: 0.000 0.000 0.805
Mg: 0.500 0.500 0.098
Mg: 0.500 0.500 0.294
Mg: 0.500 0.500 0.706
Mg: 0.500 0.500 0.902
Sc: 0.500 0.500 0.500

The 6 most intense peaks (2θ = 5–70°), low angle first:
| 2θ/deg | Rel. int. |
| --- | --- |
| 22.26 | 17.5 |
| 23.88 | 30.1 |
| 32.87 | 100.0 |
| 34.02 | 46.3 |
| 57.94 | 17.6 |
| 60.16 | 33.0 |

***

Record 4
This entry pairs a crystal structure of Y3Mg6Sc with its simulated powder XRD pattern. Radiation: copper Kα. Structure: DFT lattice parameters and positions (PBE).
Neutral-atom scattering factors, no anomalous dispersion.

Structural model:
Lattice parameters (Å, degrees): 9.177 5.223 11.148 90.00 105.51 90.00
Positions (direct):
Y: 0.044 0.250 0.398
Y: 0.150 0.750 0.211
Y: 0.252 0.250 0.006
Y: 0.748 0.750 0.994
Y: 0.850 0.250 0.789
Y: 0.956 0.750 0.602
Mg: 0.057 0.750 0.903
Mg: 0.171 0.250 0.705
Mg: 0.269 0.750 0.516
Mg: 0.353 0.750 0.811
Mg: 0.367 0.250 0.308
Mg: 0.456 0.750 0.111
Mg: 0.544 0.250 0.889
Mg: 0.633 0.750 0.692
Mg: 0.647 0.250 0.189
Mg: 0.731 0.250 0.484
Mg: 0.829 0.750 0.295
Mg: 0.943 0.250 0.097
Sc: 0.452 0.250 0.595
Sc: 0.548 0.750 0.405

The 6 most intense peaks (2θ = 5–70°), low angle first:
| 2θ/deg | Rel. int. |
| --- | --- |
| 23.73 | 17.1 |
| 24.02 | 26.2 |
| 34.01 | 100.0 |
| 34.11 | 24.9 |
| 34.34 | 25.0 |
| 61.29 | 17.1 |

***

Record 5
This entry pairs a crystal structure of Y3MgSc with its simulated powder XRD pattern. Radiation: copper Kα. Structure: DFT lattice parameters and positions (PBE).
Neutral-atom scattering factors, no anomalous dispersion.

Structural model:
Lattice parameters (Å, degrees): 6.589 6.589 14.056 109.74 109.74 30.63
Positions (direct):
Y: 0.011 0.011 0.385
Y: 0.120 0.120 0.978
Y: 0.391 0.391 0.796
Y: 0.609 0.609 0.204
Y: 0.880 0.880 0.022
Y: 0.989 0.989 0.615
Mg: 0.329 0.329 0.202
Mg: 0.671 0.671 0.798
Sc: 0.290 0.290 0.421
Sc: 0.710 0.710 0.579

The 6 most intense peaks (2θ = 5–70°), low angle first:
| 2θ/deg | Rel. int. |
| --- | --- |
| 31.19 | 100.0 |
| 32.04 | 97.1 |
| 32.74 | 89.5 |
| 33.10 | 77.7 |
| 33.33 | 89.4 |
| 34.05 | 76.6 |

***

Record 6
This entry pairs a crystal structure of YMg14Sc with its simulated powder XRD pattern. Radiation: copper Kα. Structure: DFT lattice parameters and positions (PBE).
Neutral-atom scattering factors, no anomalous dispersion.

Structural model:
Lattice parameters (Å, degrees): 6.900 6.900 7.864 90.00 90.00 90.00
Positions (direct):
Y: 0.000 0.000 0.000
Mg: 0.000 0.000 0.500
Mg: 0.000 0.500 0.000
Mg: 0.000 0.500 0.500
Mg: 0.255 0.255 0.256
Mg: 0.255 0.255 0.744
Mg: 0.255 0.745 0.256
Mg: 0.255 0.745 0.744
Mg: 0.500 0.000 0.000
Mg: 0.500 0.000 0.500
Mg: 0.500 0.500 0.500
Mg: 0.745 0.255 0.256
Mg: 0.745 0.255 0.744
Mg: 0.745 0.745 0.256
Mg: 0.745 0.745 0.744
Sc: 0.500 0.500 0.000

The 6 most intense peaks (2θ = 5–70°), low angle first:
| 2θ/deg | Rel. int. |
| --- | --- |
| 34.59 | 100.0 |
| 36.85 | 41.8 |
| 46.17 | 10.7 |
| 53.09 | 13.9 |
| 60.48 | 18.3 |
| 64.93 | 29.1 |

***

Record 7
This entry pairs a crystal structure of YMg2Sc2 with its simulated powder XRD pattern. Radiation: copper Kα. Structure: DFT lattice parameters and positions (PBE).
Neutral-atom scattering factors, no anomalous dispersion.

Structural model:
Lattice parameters (Å, degrees): 3.585 5.242 13.523 90.00 97.61 90.00
Positions (direct):
Y: 0.152 0.250 0.305
Y: 0.848 0.750 0.695
Mg: 0.360 0.250 0.719
Mg: 0.450 0.750 0.901
Mg: 0.550 0.250 0.099
Mg: 0.640 0.750 0.281
Sc: 0.045 0.750 0.091
Sc: 0.238 0.750 0.476
Sc: 0.762 0.250 0.524
Sc: 0.955 0.250 0.909

The 6 most intense peaks (2θ = 5–70°), low angle first:
| 2θ/deg | Rel. int. |
| --- | --- |
| 33.42 | 24.1 |
| 34.21 | 27.9 |
| 34.63 | 100.0 |
| 48.58 | 15.9 |
| 60.52 | 12.7 |
| 61.52 | 17.1 |

***

Record 8
This entry pairs a crystal structure of Mg3Sc2Zn3 with its simulated powder XRD pattern. Radiation: copper Kα. Structure: DFT lattice parameters and positions (PBE).
Neutral-atom scattering factors, no anomalous dispersion.

Structural model:
Lattice parameters (Å, degrees): 8.229 8.229 8.229 33.49 33.49 33.49
Positions (direct):
Mg: 0.000 0.000 0.000
Mg: 0.129 0.129 0.129
Mg: 0.507 0.507 0.507
Sc: 0.259 0.259 0.259
Sc: 0.746 0.746 0.746
Zn: 0.383 0.383 0.383
Zn: 0.627 0.627 0.627
Zn: 0.873 0.873 0.873

The 6 most intense peaks (2θ = 5–70°), low angle first:
| 2θ/deg | Rel. int. |
| --- | --- |
| 22.95 | 6.1 |
| 26.57 | 8.7 |
| 37.92 | 100.0 |
| 54.71 | 15.8 |
| 68.40 | 6.5 |
| 68.53 | 23.3 |

***

Record 9
This entry pairs a crystal structure of MgScZn with its simulated powder XRD pattern. Radiation: copper Kα. Structure: DFT lattice parameters and positions (PBE).
Neutral-atom scattering factors, no anomalous dispersion.

Structural model:
Lattice parameters (Å, degrees): 7.526 7.526 4.888 90.00 90.00 154.35
Positions (direct):
Mg: 0.238 0.762 0.750
Mg: 0.762 0.238 0.250
Sc: 0.074 0.926 0.250
Sc: 0.926 0.074 0.750
Zn: 0.414 0.586 0.250
Zn: 0.586 0.414 0.750

The 6 most intense peaks (2θ = 5–70°), low angle first:
| 2θ/deg | Rel. int. |
| --- | --- |
| 12.06 | 24.7 |
| 36.76 | 51.7 |
| 37.43 | 100.0 |
| 52.96 | 16.4 |
| 66.64 | 30.6 |
| 67.95 | 15.2 |

***

Record 10
This entry pairs a crystal structure of MgZrSc with its simulated powder XRD pattern. Radiation: copper Kα. Structure: DFT lattice parameters and positions (PBE).
Neutral-atom scattering factors, no anomalous dispersion.

Structural model:
Lattice parameters (Å, degrees): 3.222 3.222 13.457 90.00 90.00 90.00
Positions (direct):
Mg: 0.250 0.250 0.080
Mg: 0.750 0.750 0.920
Zr: 0.250 0.250 0.415
Zr: 0.750 0.750 0.585
Sc: 0.250 0.250 0.748
Sc: 0.750 0.750 0.252

The 6 most intense peaks (2θ = 5–70°), low angle first:
| 2θ/deg | Rel. int. |
| --- | --- |
| 6.57 | 100.0 |
| 34.27 | 73.9 |
| 39.56 | 24.5 |
| 40.19 | 17.5 |
| 57.67 | 17.3 |
| 68.38 | 17.8 |

***

Record 11
This entry pairs a crystal structure of MgZr4Sc5 with its simulated powder XRD pattern. Radiation: copper Kα. Structure: DFT lattice parameters and positions (PBE).
Neutral-atom scattering factors, no anomalous dispersion.

Structural model:
Lattice parameters (Å, degrees): 3.215 3.215 22.756 90.00 90.00 90.00
Positions (direct):
Mg: 0.000 0.000 0.000
Zr: 0.000 0.000 0.197
Zr: 0.000 0.000 0.400
Zr: 0.000 0.000 0.600
Zr: 0.000 0.000 0.803
Sc: 0.500 0.500 0.102
Sc: 0.500 0.500 0.301
Sc: 0.500 0.500 0.500
Sc: 0.500 0.500 0.699
Sc: 0.500 0.500 0.898

The 6 most intense peaks (2θ = 5–70°), low angle first:
| 2θ/deg | Rel. int. |
| --- | --- |
| 7.77 | 8.8 |
| 19.50 | 7.7 |
| 34.15 | 100.0 |
| 39.63 | 48.8 |
| 57.30 | 31.1 |
| 68.42 | 35.2 |

***

Record 12
This entry pairs a crystal structure of Mg12ZrSc3 with its simulated powder XRD pattern. Radiation: copper Kα. Structure: DFT lattice parameters and positions (PBE).
Neutral-atom scattering factors, no anomalous dispersion.

Structural model:
Lattice parameters (Å, degrees): 4.467 4.467 18.222 90.00 90.00 90.00
Positions (direct):
Mg: 0.000 0.000 0.000
Mg: 0.000 0.000 0.248
Mg: 0.000 0.000 0.500
Mg: 0.000 0.000 0.752
Mg: 0.000 0.500 0.122
Mg: 0.000 0.500 0.373
Mg: 0.000 0.500 0.627
Mg: 0.000 0.500 0.878
Mg: 0.500 0.000 0.122
Mg: 0.500 0.000 0.373
Mg: 0.500 0.000 0.627
Mg: 0.500 0.000 0.878
Zr: 0.500 0.500 0.000
Sc: 0.500 0.500 0.247
Sc: 0.500 0.500 0.500
Sc: 0.500 0.500 0.753

The 6 most intense peaks (2θ = 5–70°), low angle first:
| 2θ/deg | Rel. int. |
| --- | --- |
| 34.55 | 100.0 |
| 39.57 | 16.8 |
| 40.38 | 32.0 |
| 57.82 | 20.8 |
| 68.57 | 11.8 |
| 69.69 | 23.0 |

***

Record 13
This entry pairs a crystal structure of MgZr4Sc8 with its simulated powder XRD pattern. Radiation: copper Kα. Structure: DFT lattice parameters and positions (PBE).
Neutral-atom scattering factors, no anomalous dispersion.

Structural model:
Lattice parameters (Å, degrees): 6.432 6.447 8.020 89.88 89.84 89.67
Positions (direct):
Mg: 0.000 0.000 0.000
Zr: 0.000 0.000 0.500
Zr: 0.000 0.500 0.500
Zr: 0.500 0.000 0.500
Zr: 0.500 0.500 0.500
Sc: 0.253 0.254 0.774
Sc: 0.254 0.744 0.775
Sc: 0.255 0.255 0.224
Sc: 0.257 0.746 0.225
Sc: 0.743 0.254 0.775
Sc: 0.745 0.745 0.776
Sc: 0.746 0.256 0.225
Sc: 0.747 0.746 0.226

The 6 most intense peaks (2θ = 5–70°), low angle first:
| 2θ/deg | Rel. int. |
| --- | --- |
| 11.03 | 86.8 |
| 29.88 | 48.2 |
| 35.74 | 100.0 |
| 35.84 | 32.9 |
| 39.47 | 26.1 |
| 39.71 | 25.6 |